Entry 1:
Starting from a DFT-relaxed cell (PBE, Alexandria), the powder X-ray diffraction pattern of HoEr5In was calculated for CuKα.
Kinematic intensities with the Lorentz-polarization factor, no thermal factor.

Cell and atoms:
a = 7.598 Å, b = 7.598 Å, c = 7.598 Å
α = 117.05°, β = 82.39°, γ = 132.67°
Fractional coordinates of all 7 atoms:
1 Ho 0.000 0.000 0.000
2 Er 0.358 0.611 0.748
3 Er 0.502 0.317 0.815
4 Er 0.502 0.686 0.185
5 Er 0.793 0.293 0.500
6 Er 0.863 0.611 0.252
7 In 0.270 0.770 0.500

Main lines, sorted by position (10° ≤ 2θ ≤ 80°):
- 2θ = 15.50°, d 5.717, intensity 88
- 2θ = 18.35°, d 4.836, intensity 56
- 2θ = 22.41°, d 3.967, intensity 57
- 2θ = 24.10°, d 3.692, intensity 81
- 2θ = 27.94°, d 3.193, intensity 78
- 2θ = 31.29°, d 2.859, intensity 100
- 2θ = 32.41°, d 2.763, intensity 94
- 2θ = 40.38°, d 2.234, intensity 91

Entry 2:
Starting from a DFT-relaxed cell (PBE, Alexandria), the powder X-ray diffraction pattern of Ho3Er3In was calculated for CuKα.
Kinematic intensities with the Lorentz-polarization factor, no thermal factor.

Cell and atoms:
a = 9.303 Å, b = 9.303 Å, c = 5.496 Å
α = 90.00°, β = 90.00°, γ = 120.00°
Fractional coordinates of all 14 atoms:
1 Ho 0.063 0.821 0.250
2 Ho 0.179 0.242 0.250
3 Ho 0.242 0.063 0.750
4 Ho 0.758 0.937 0.250
5 Ho 0.821 0.758 0.750
6 Ho 0.937 0.179 0.750
7 Er 0.105 0.624 0.750
8 Er 0.376 0.481 0.750
9 Er 0.481 0.105 0.250
10 Er 0.519 0.895 0.750
11 Er 0.624 0.519 0.250
12 Er 0.895 0.376 0.250
13 In 0.333 0.667 0.250
14 In 0.667 0.333 0.750

Main lines, sorted by position (10° ≤ 2θ ≤ 80°):
- 2θ = 29.33°, d 3.045, intensity 24
- 2θ = 32.58°, d 2.748, intensity 25
- 2θ = 33.65°, d 2.664, intensity 100
- 2θ = 44.40°, d 2.040, intensity 16
- 2θ = 52.01°, d 1.758, intensity 19
- 2θ = 58.82°, d 1.570, intensity 20
- 2θ = 62.74°, d 1.481, intensity 21
- 2θ = 63.39°, d 1.467, intensity 15

Entry 3:
Starting from a DFT-relaxed cell (PBE, Alexandria), the powder X-ray diffraction pattern of Ho12Er5In2 was calculated for CuKα.
Kinematic intensities with the Lorentz-polarization factor, no thermal factor.

Cell and atoms:
a = 8.922 Å, b = 8.922 Å, c = 8.261 Å
α = 91.26°, β = 91.26°, γ = 62.04°
Fractional coordinates of all 19 atoms:
1 Ho 0.053 0.053 0.325
2 Ho 0.072 0.679 0.340
3 Ho 0.164 0.535 0.762
4 Ho 0.321 0.928 0.660
5 Ho 0.414 0.414 0.113
6 Ho 0.465 0.836 0.238
7 Ho 0.535 0.164 0.762
8 Ho 0.586 0.586 0.887
9 Ho 0.679 0.072 0.340
10 Ho 0.836 0.465 0.238
11 Ho 0.928 0.321 0.660
12 Ho 0.947 0.947 0.675
13 Er 0.189 0.189 0.005
14 Er 0.265 0.265 0.419
15 Er 0.500 0.500 0.500
16 Er 0.735 0.735 0.581
17 Er 0.811 0.811 0.995
18 In 0.182 0.818 0.000
19 In 0.818 0.182 0.000

Main lines, sorted by position (10° ≤ 2θ ≤ 80°):
- 2θ = 29.81°, d 2.997, intensity 25
- 2θ = 31.17°, d 2.870, intensity 44
- 2θ = 31.63°, d 2.829, intensity 25
- 2θ = 31.73°, d 2.820, intensity 25
- 2θ = 32.32°, d 2.770, intensity 33
- 2θ = 32.49°, d 2.756, intensity 100
- 2θ = 34.36°, d 2.610, intensity 46
- 2θ = 36.02°, d 2.494, intensity 30

Entry 4:
Starting from a DFT-relaxed cell (PBE, Alexandria), the powder X-ray diffraction pattern of Ho4ErIn was calculated for CuKα.
Kinematic intensities with the Lorentz-polarization factor, no thermal factor.

Cell and atoms:
a = 7.723 Å, b = 7.723 Å, c = 9.817 Å
α = 90.00°, β = 90.00°, γ = 143.44°
Fractional coordinates of all 12 atoms:
1 Ho 0.000 0.000 0.000
2 Ho 0.000 0.000 0.500
3 Ho 0.173 0.827 0.750
4 Ho 0.332 0.668 0.005
5 Ho 0.496 0.504 0.750
6 Ho 0.504 0.496 0.250
7 Ho 0.668 0.332 0.505
8 Ho 0.827 0.173 0.250
9 Er 0.333 0.667 0.495
10 Er 0.667 0.333 0.995
11 In 0.166 0.834 0.250
12 In 0.834 0.166 0.750

Main lines, sorted by position (10° ≤ 2θ ≤ 80°):
- 2θ = 31.75°, d 2.818, intensity 100
- 2θ = 36.61°, d 2.454, intensity 17
- 2θ = 36.77°, d 2.444, intensity 17
- 2θ = 37.11°, d 2.423, intensity 17
- 2θ = 62.89°, d 1.478, intensity 14
- 2θ = 63.10°, d 1.473, intensity 14
- 2θ = 63.56°, d 1.464, intensity 14
- 2θ = 66.34°, d 1.409, intensity 12

Entry 5:
Starting from a DFT-relaxed cell (PBE, Alexandria), the powder X-ray diffraction pattern of HoErIn3 was calculated for CuKα.
Kinematic intensities with the Lorentz-polarization factor, no thermal factor.

Cell and atoms:
a = 7.265 Å, b = 7.265 Å, c = 6.337 Å
α = 90.00°, β = 90.00°, γ = 120.00°
Fractional coordinates of all 10 atoms:
1 Ho 0.333 0.667 0.250
2 Ho 0.667 0.333 0.750
3 Er 0.000 0.000 0.000
4 Er 0.000 0.000 0.500
5 In 0.202 0.404 0.750
6 In 0.202 0.798 0.750
7 In 0.404 0.202 0.250
8 In 0.596 0.798 0.750
9 In 0.798 0.202 0.250
10 In 0.798 0.596 0.250

Main lines, sorted by position (10° ≤ 2θ ≤ 80°):
- 2θ = 24.50°, d 3.633, intensity 45
- 2θ = 31.62°, d 2.830, intensity 52
- 2θ = 31.76°, d 2.818, intensity 100
- 2θ = 37.83°, d 2.378, intensity 33
- 2θ = 40.40°, d 2.232, intensity 56
- 2θ = 50.23°, d 1.816, intensity 23
- 2θ = 52.16°, d 1.754, intensity 24
- 2θ = 60.60°, d 1.528, intensity 31

Entry 6:
Starting from a DFT-relaxed cell (PBE, Alexandria), the powder X-ray diffraction pattern of Ho2Er7In2 was calculated for CuKα.
Kinematic intensities with the Lorentz-polarization factor, no thermal factor.

Cell and atoms:
a = 11.058 Å, b = 11.058 Å, c = 11.058 Å
α = 161.25°, β = 54.94°, γ = 128.87°
Fractional coordinates of all 11 atoms:
1 Ho 0.000 0.000 0.000
2 Ho 0.670 0.170 0.500
3 Er 0.268 0.633 0.635
4 Er 0.346 0.006 0.341
5 Er 0.346 0.346 0.000
6 Er 0.665 0.006 0.659
7 Er 0.683 0.815 0.869
8 Er 0.946 0.815 0.131
9 Er 0.998 0.633 0.365
10 In 0.050 0.294 0.756
11 In 0.538 0.294 0.244

Main lines, sorted by position (10° ≤ 2θ ≤ 80°):
- 2θ = 31.26°, d 2.861, intensity 81
- 2θ = 31.45°, d 2.845, intensity 49
- 2θ = 32.23°, d 2.778, intensity 100
- 2θ = 34.06°, d 2.632, intensity 42
- 2θ = 36.64°, d 2.453, intensity 27
- 2θ = 45.18°, d 2.007, intensity 25
- 2θ = 50.71°, d 1.800, intensity 25
- 2θ = 60.77°, d 1.524, intensity 25